No. 1
This entry pairs a crystal structure of In3Hg2BiPb3 with its calculated PXRD pattern. Radiation: Cu Kα. Structure: a DFT-relaxed cell (GGA-PBE, Alexandria).
Intensities are scaled so that the largest is 100.

Most intense lines, 10° ≤ 2θ ≤ 90°, sorted by position:
24.54 deg, intensity 17; 29.80 deg, intensity 100; 31.42 deg, intensity 22; 32.13 deg, intensity 70; 35.76 deg, intensity 95; 38.37 deg, intensity 41; 43.75 deg, intensity 25; 47.21 deg, intensity 16; 57.77 deg, intensity 88; 73.64 deg, intensity 20

Atomic structure:
```
In3Hg2BiPb3
1.0
8.699 0.000 0.000
-4.350 7.534 0.000
0.000 0.000 4.139
In Hg Bi Pb
3 2 1 3
direct
0.000 0.389 0.000 In
0.389 0.000 0.000 In
0.611 0.611 0.000 In
0.333 0.667 0.500 Hg
0.667 0.333 0.500 Hg
0.000 0.000 0.000 Bi
0.000 0.707 0.500 Pb
0.293 0.293 0.500 Pb
0.707 0.000 0.500 Pb
```

---

No. 2
This entry pairs a crystal structure of In2Hg5Bi2Pb2 with its calculated PXRD pattern. Radiation: Cu Kα. Structure: a DFT-relaxed cell (GGA-PBE, Alexandria).
Intensities are scaled so that the largest is 100.

Most intense lines, 10° ≤ 2θ ≤ 90°, sorted by position:
19.20 deg, intensity 43; 28.78 deg, intensity 100; 32.80 deg, intensity 40; 33.38 deg, intensity 56; 36.50 deg, intensity 54; 38.68 deg, intensity 64; 51.59 deg, intensity 23; 52.33 deg, intensity 21; 55.86 deg, intensity 22; 64.05 deg, intensity 27

Atomic structure:
```
In2Hg5Bi2Pb2
1.0
-2.328 2.328 18.544
2.328 -2.328 18.544
2.328 2.328 -18.544
In Hg Bi Pb
2 5 2 2
direct
0.081 0.081 0.000 In
0.919 0.919 0.000 In
0.000 0.000 0.000 Hg
0.132 0.632 0.500 Hg
0.368 0.868 0.500 Hg
0.632 0.132 0.500 Hg
0.868 0.368 0.500 Hg
0.195 0.195 0.000 Bi
0.805 0.805 0.000 Bi
0.284 0.284 0.000 Pb
0.716 0.716 0.000 Pb
```

---

No. 3
This entry pairs a crystal structure of In3Hg2Bi2Pb4 with its calculated PXRD pattern. Radiation: Cu Kα. Structure: a DFT-relaxed cell (GGA-PBE, Alexandria).
Intensities are scaled so that the largest is 100.

Most intense lines, 10° ≤ 2θ ≤ 90°, sorted by position:
18.60 deg, intensity 20; 32.50 deg, intensity 100; 33.36 deg, intensity 92; 47.27 deg, intensity 35; 57.99 deg, intensity 20; 58.54 deg, intensity 38; 60.16 deg, intensity 15; 68.07 deg, intensity 12; 77.96 deg, intensity 17; 79.38 deg, intensity 13

Atomic structure:
```
In3Hg2Bi2Pb4
1.0
5.510 0.000 0.000
-2.755 4.771 0.000
0.000 0.000 12.997
In Hg Bi Pb
3 2 2 4
direct
0.000 0.000 0.000 In
0.000 0.000 0.284 In
0.000 0.000 0.716 In
0.333 0.667 0.667 Hg
0.667 0.333 0.333 Hg
0.333 0.667 0.167 Bi
0.667 0.333 0.833 Bi
0.333 0.667 0.431 Pb
0.333 0.667 0.909 Pb
0.667 0.333 0.091 Pb
0.667 0.333 0.569 Pb
```

---

No. 4
This entry pairs a crystal structure of PmInHgBi with its calculated PXRD pattern. Radiation: Cu Kα. Structure: a DFT-relaxed cell (GGA-PBE, Alexandria).
Intensities are scaled so that the largest is 100.

Most intense lines, 10° ≤ 2θ ≤ 90°, sorted by position:
32.44 deg, intensity 100; 36.23 deg, intensity 19; 37.76 deg, intensity 17; 38.88 deg, intensity 15; 53.33 deg, intensity 12; 54.19 deg, intensity 12; 62.79 deg, intensity 15; 64.85 deg, intensity 14; 66.37 deg, intensity 13; 67.94 deg, intensity 12

Atomic structure:
```
PmInHgBi
1.0
4.632 0.000 0.000
0.000 4.764 0.000
0.000 0.000 4.959
Pm In Hg Bi
1 1 1 1
direct
0.000 0.000 0.000 Pm
0.000 0.500 0.500 In
0.500 0.000 0.500 Hg
0.500 0.500 0.000 Bi
```

---

No. 5
This entry pairs a crystal structure of Rb2In3HgBi4 with its calculated PXRD pattern. Radiation: Cu Kα. Structure: a DFT-relaxed cell (GGA-PBE, Alexandria).
Intensities are scaled so that the largest is 100.

Most intense lines, 10° ≤ 2θ ≤ 90°, sorted by position:
12.93 deg, intensity 36; 18.28 deg, intensity 28; 25.99 deg, intensity 41; 27.57 deg, intensity 100; 34.56 deg, intensity 72; 35.86 deg, intensity 77; 37.09 deg, intensity 38; 49.68 deg, intensity 26; 57.76 deg, intensity 26; 62.77 deg, intensity 31

Atomic structure:
```
Rb2In3HgBi4
1.0
5.191 0.000 0.000
0.000 5.191 0.000
0.000 0.000 13.697
Rb In Hg Bi
2 3 1 4
direct
0.000 0.500 0.242 Rb
0.500 0.000 0.758 Rb
0.000 0.000 0.000 In
0.000 0.500 0.639 In
0.500 0.000 0.361 In
0.500 0.500 0.000 Hg
0.000 0.000 0.500 Bi
0.000 0.500 0.871 Bi
0.500 0.000 0.129 Bi
0.500 0.500 0.500 Bi
```

---

No. 6
This entry pairs a crystal structure of In6SnHg3Bi2 with its calculated PXRD pattern. Radiation: Cu Kα. Structure: a DFT-relaxed cell (GGA-PBE, Alexandria).
Intensities are scaled so that the largest is 100.

Most intense lines, 10° ≤ 2θ ≤ 90°, sorted by position:
22.04 deg, intensity 12; 28.73 deg, intensity 53; 30.72 deg, intensity 100; 33.83 deg, intensity 39; 41.84 deg, intensity 39; 43.27 deg, intensity 35; 44.96 deg, intensity 32; 58.60 deg, intensity 16; 63.98 deg, intensity 12; 67.07 deg, intensity 12

Atomic structure:
```
In6SnHg3Bi2
1.0
9.426 -2.649 0.000
9.426 2.649 0.000
-1.024 0.000 6.895
In Sn Hg Bi
6 1 3 2
direct
0.013 0.013 0.251 In
0.326 0.326 0.896 In
0.338 0.338 0.421 In
0.662 0.662 0.579 In
0.674 0.674 0.104 In
0.987 0.987 0.749 In
0.500 0.500 0.500 Sn
0.177 0.177 0.346 Hg
0.500 0.500 0.000 Hg
0.823 0.823 0.654 Hg
0.156 0.156 0.839 Bi
0.844 0.844 0.161 Bi
```

---

No. 7
This entry pairs a crystal structure of In2SnHg2Bi with its calculated PXRD pattern. Radiation: Cu Kα. Structure: a DFT-relaxed cell (GGA-PBE, Alexandria).
Intensities are scaled so that the largest is 100.

Most intense lines, 10° ≤ 2θ ≤ 90°, sorted by position:
31.37 deg, intensity 100; 33.31 deg, intensity 84; 35.20 deg, intensity 70; 41.88 deg, intensity 24; 47.88 deg, intensity 15; 55.82 deg, intensity 38; 59.58 deg, intensity 28; 63.13 deg, intensity 23; 69.95 deg, intensity 19; 89.23 deg, intensity 13

Atomic structure:
```
In2SnHg2Bi
1.0
4.314 0.000 0.000
0.000 11.398 0.000
0.000 0.000 6.879
In Sn Hg Bi
4 2 4 2
direct
0.000 0.148 0.000 In
0.000 0.852 0.500 In
0.500 0.322 0.268 In
0.500 0.678 0.768 In
0.000 0.491 0.489 Sn
0.000 0.509 0.989 Sn
0.000 0.163 0.501 Hg
0.000 0.837 0.001 Hg
0.500 0.004 0.750 Hg
0.500 0.996 0.250 Hg
0.500 0.341 0.790 Bi
0.500 0.659 0.290 Bi
```

---

No. 8
This entry pairs a crystal structure of SrIn2HgBi with its calculated PXRD pattern. Radiation: Cu Kα. Structure: a DFT-relaxed cell (GGA-PBE, Alexandria).
Intensities are scaled so that the largest is 100.

Most intense lines, 10° ≤ 2θ ≤ 90°, sorted by position:
21.67 deg, intensity 86; 29.10 deg, intensity 44; 30.23 deg, intensity 16; 34.06 deg, intensity 100; 36.06 deg, intensity 40; 38.95 deg, intensity 44; 45.01 deg, intensity 27; 54.12 deg, intensity 25; 67.43 deg, intensity 28; 69.84 deg, intensity 20

Atomic structure:
```
SrIn2HgBi
1.0
4.625 0.000 0.000
0.000 4.625 0.000
0.000 0.000 8.870
Sr In Hg Bi
1 2 1 1
direct
0.000 0.000 0.000 Sr
0.000 0.500 0.371 In
0.500 0.000 0.371 In
0.000 0.000 0.633 Hg
0.500 0.500 0.098 Bi
```